For Ce5As3P, the PBE geometry in Alexandria gives the theoretical powder diffractogram in this record (Cu Kα, 1.54184 Å).

Structural model:
```
18
Lattice="-3.841 3.841 7.562 3.841 -3.841 7.562 3.841 3.841 -7.562" Properties=species:S:1:pos:R:3 pbc="T T T"
Ce 0.000 0.000 0.000
Ce 5.320 1.479 -2.070
Ce 1.479 2.362 -2.070
Ce 5.320 1.479 2.070
Ce 1.479 2.362 2.070
Ce 0.000 0.000 7.562
Ce 2.362 1.479 5.492
Ce -1.479 2.362 5.492
Ce 2.362 1.479 9.632
Ce -1.479 2.362 9.632
As 2.901 0.940 0.000
As 0.000 0.000 3.781
As 2.901 -0.940 7.562
As 0.940 4.780 0.000
As 0.000 0.000 11.343
As 0.940 2.901 7.562
P 3.841 0.000 3.781
P 0.000 3.841 3.781
```

Most intense lines, 2θ = 10–90°, most intense first:
2θ/deg	I (rel.)
33.25	100
31.51	87
32.98	38
37.01	33
52.34	32
49.29	21
39.70	17
66.24	16
48.13	15
56.34	15